The following is a theoretical PXRD pattern of Na2Sn3O7. It was derived from the PBE geometry in the Materials Project, using Cu Kα (weighted mean of Kα1 and Kα2).
Intensities are scaled so that the largest is 100.

Atomic structure:
Cell lengths 16.745, 3.167, 12.077 Å; angles 90.00, 90.00, 90.00 degrees
Space group Pnma (No. 62)
Symmetry-distinct sites (fractional):
Na 0.065 0.250 0.110 x4
Na 0.193 0.250 0.562 x4
Sn 0.022 0.750 0.384 x4
Sn 0.118 0.250 0.850 x4
Sn 0.214 0.250 0.290 x4
O 0.008 0.250 0.776 x4
O 0.053 0.750 0.559 x4
O 0.088 0.750 0.952 x4
O 0.104 0.250 0.371 x4
O 0.164 0.750 0.744 x4
O 0.187 0.750 0.186 x4
O 0.246 0.250 0.901 x4

Top 10 peaks for 10 to 80 degrees two-theta, by angle:
d = 6.039 Å, rel. 43, hkl 0 0 2
d = 5.680 Å, rel. 100, hkl 1 0 2
d = 5.067 Å, rel. 31, hkl 3 0 1
d = 4.898 Å, rel. 41, hkl 2 0 2
d = 3.227 Å, rel. 42, hkl 5 0 1
d = 2.967 Å, rel. 41, hkl 2 1 0
d = 2.877 Å, rel. 54, hkl 2 1 1
d = 2.719 Å, rel. 57, hkl 6 0 1
d = 2.506 Å, rel. 63, hkl 3 1 2
d = 2.273 Å, rel. 35, hkl 3 1 3

The following is a theoretical PXRD pattern of Na8SnO6. It was derived from the PBE geometry in the Materials Project, using Cu Kα (weighted mean of Kα1 and Kα2).
Intensities are scaled so that the largest is 100.

Atomic structure:
Cell lengths 6.3519, 6.3519, 17.0814 Å; angles 90.00, 90.00, 120.00 degrees
Space group R-3 (No. 148, hexagonal axes)
Symmetry-distinct sites (fractional):
Na 0.0000 0.0000 0.1589 x6
Na 0.0221 0.6393 0.3849 x18
Sn 0.0000 0.0000 0.5000 x3
O 0.0140 0.7207 0.5726 x18

Top 10 peaks for 10 to 80 degrees two-theta, by angle:
d = 5.694 Å, rel. 28, hkl 0 0 3
d = 5.236 Å, rel. 63, hkl 1 0 1
d = 4.625 Å, rel. 46, hkl 0 1 2
d = 3.373 Å, rel. 21, hkl 1 0 4
d = 2.902 Å, rel. 20, hkl 0 1 5
d = 2.774 Å, rel. 100, hkl 2 -1 3
d = 2.120 Å, rel. 84, hkl 1 1 6
d = 2.020 Å, rel. 17, hkl 1 2 2
d = 1.834 Å, rel. 45, hkl 3 0 0
d = 1.319 Å, rel. 16, hkl 3 0 9

The following is a theoretical PXRD pattern of Na6Sn2O7. It was derived from the PBE geometry in the Materials Project, using Cu Kα (weighted mean of Kα1 and Kα2).
Intensities are scaled so that the largest is 100.

Atomic structure:
Cell lengths 9.352, 6.243, 18.480 Å; angles 90.00, 116.32, 90.00 degrees
Space group P2_1/c (No. 14)
Symmetry-distinct sites (fractional):
Na 0.008 0.198 0.458 x4
Na 0.127 0.666 0.257 x4
Na 0.178 0.015 0.376 x4
Na 0.258 0.647 0.486 x4
Na 0.350 0.130 0.884 x4
Na 0.403 0.721 0.199 x4
Sn 0.158 0.176 0.169 x4
Sn 0.437 0.152 0.586 x4
O 0.014 0.674 0.924 x4
O 0.131 0.227 0.764 x4
O 0.158 0.637 0.659 x4
O 0.271 0.225 0.985 x4
O 0.346 0.733 0.381 x4
O 0.375 0.214 0.679 x4
O 0.441 0.662 0.088 x4

Top 10 peaks for 10 to 80 degrees two-theta, by angle:
d = 4.993 Å, rel. 100, hkl 0 1 2
d = 4.904 Å, rel. 42, hkl 1 0 2
d = 3.948 Å, rel. 24, hkl 2 0 -4
d = 3.178 Å, rel. 45, hkl 2 1 1
d = 3.122 Å, rel. 27, hkl 0 2 0
d = 3.096 Å, rel. 31, hkl 3 0 -2
d = 2.995 Å, rel. 25, hkl 2 0 -6
d = 2.843 Å, rel. 26, hkl 1 1 4
d = 2.770 Å, rel. 36, hkl 1 2 -3
d = 1.813 Å, rel. 27, hkl 2 3 1

The following is a theoretical PXRD pattern of Na6Sn2O7. It was derived from the PBE geometry in the Materials Project, using Cu Kα (weighted mean of Kα1 and Kα2).
Intensities are scaled so that the largest is 100.

Atomic structure:
Cell lengths 8.828, 8.905, 12.330 Å; angles 90.00, 107.24, 90.00 degrees
Space group C2/c (No. 15)
Symmetry-distinct sites (fractional):
Na 0.000 0.000 0.000 x4
Na 0.000 0.045 0.250 x4
Na 0.063 0.357 0.588 x8
Na 0.244 0.270 0.129 x8
Sn 0.160 0.399 0.368 x8
O 0.000 0.473 0.750 x4
O 0.035 0.230 0.400 x8
O 0.152 0.135 0.684 x8
O 0.209 0.447 0.989 x8

Top 10 peaks for 10 to 80 degrees two-theta, by angle:
d = 6.123 Å, rel. 55, hkl 1 1 0
d = 5.985 Å, rel. 78, hkl 1 1 -1
d = 4.790 Å, rel. 100, hkl 1 1 -2
d = 4.165 Å, rel. 69, hkl 0 2 1
d = 3.850 Å, rel. 61, hkl 1 1 2
d = 3.025 Å, rel. 41, hkl 2 0 2
d = 2.944 Å, rel. 45, hkl 0 0 4
d = 2.819 Å, rel. 76, hkl 2 2 1
d = 2.714 Å, rel. 48, hkl 2 2 -3
d = 2.680 Å, rel. 42, hkl 3 1 0

The following is a theoretical PXRD pattern of Na6Sn2O7. It was derived from the PBE geometry in the Materials Project, using Cu Kα (weighted mean of Kα1 and Kα2).
Intensities are scaled so that the largest is 100.

Atomic structure:
Cell lengths 11.488, 6.629, 11.050 Å; angles 90.00, 102.44, 90.00 degrees
Space group C2/c (No. 15)
Symmetry-distinct sites (fractional):
Na 0.070 0.145 0.097 x8
Na 0.072 0.398 0.622 x8
Na 0.201 0.127 0.881 x8
Sn 0.177 0.353 0.374 x8
O 0.000 0.344 0.250 x4
O 0.127 0.404 0.959 x8
O 0.143 0.139 0.503 x8
O 0.236 0.158 0.258 x8

Top 10 peaks for 10 to 80 degrees two-theta, by angle:
d = 5.707 Å, rel. 25, hkl 1 1 0
d = 5.609 Å, rel. 46, hkl 2 0 0
d = 5.290 Å, rel. 100, hkl 1 1 -1
d = 4.154 Å, rel. 27, hkl 1 1 -2
d = 2.698 Å, rel. 25, hkl 0 0 4
d = 2.687 Å, rel. 45, hkl 2 2 1
d = 2.365 Å, rel. 97, hkl 2 2 -3
d = 2.294 Å, rel. 48, hkl 4 0 2
d = 1.657 Å, rel. 41, hkl 6 2 -1
d = 1.637 Å, rel. 27, hkl 2 2 5

The following is a theoretical PXRD pattern of Na2SnO3. It was derived from the PBE geometry in the Materials Project, using Cu Kα (weighted mean of Kα1 and Kα2).
Intensities are scaled so that the largest is 100.

Atomic structure:
Cell lengths 5.625, 9.720, 5.851 Å; angles 90.00, 108.99, 90.00 degrees
Space group C2/m (No. 12)
Symmetry-distinct sites (fractional):
Na 0.000 0.000 0.000 x2
Na 0.000 0.156 0.500 x4
Na 0.000 0.500 0.500 x2
Sn 0.000 0.332 0.000 x4
O 0.203 0.500 0.213 x4
O 0.243 0.318 0.787 x8

Top 10 peaks for 10 to 80 degrees two-theta, by angle:
d = 5.532 Å, rel. 100, hkl 0 0 1
d = 4.666 Å, rel. 30, hkl 1 1 0
d = 4.207 Å, rel. 24, hkl 1 1 -1
d = 2.770 Å, rel. 41, hkl 1 3 0
d = 2.661 Å, rel. 63, hkl 2 0 0
d = 2.334 Å, rel. 48, hkl 2 0 -2
d = 2.322 Å, rel. 88, hkl 1 3 1
d = 1.671 Å, rel. 28, hkl 1 3 -3
d = 1.623 Å, rel. 26, hkl 3 3 -1
d = 1.330 Å, rel. 27, hkl 4 0 0

The following is a theoretical PXRD pattern of Na2SnTeO6. It was derived from the PBE geometry in the Materials Project, using Cu Kα (weighted mean of Kα1 and Kα2).
Intensities are scaled so that the largest is 100.

Atomic structure:
Cell lengths 5.495, 5.564, 9.562 Å; angles 90.00, 125.08, 90.00 degrees
Space group P2_1/c (No. 14)
Symmetry-distinct sites (fractional):
Na 0.241 0.040 0.250 x4
Sn 0.000 0.000 0.500 x2
Te 0.500 0.000 0.000 x2
O 0.165 0.196 0.954 x4
O 0.260 0.712 0.952 x4
O 0.350 0.027 0.759 x4

Top 10 peaks for 10 to 80 degrees two-theta, by angle:
d = 3.910 Å, rel. 100, hkl 1 1 -1
d = 2.782 Å, rel. 20, hkl 0 2 0
d = 2.765 Å, rel. 76, hkl 1 1 1
d = 2.747 Å, rel. 18, hkl 2 0 -2
d = 1.955 Å, rel. 36, hkl 0 0 4
d = 1.749 Å, rel. 29, hkl 2 2 0
d = 1.603 Å, rel. 16, hkl 1 3 1
d = 1.590 Å, rel. 20, hkl 3 1 -1
d = 1.383 Å, rel. 13, hkl 2 2 2
d = 1.237 Å, rel. 13, hkl 1 1 5

The following is a theoretical PXRD pattern of NaSrO3. It was derived from the PBE geometry in the Materials Project, using Cu Kα (weighted mean of Kα1 and Kα2).
Intensities are scaled so that the largest is 100.

Atomic structure:
Cell lengths 4.208, 4.208, 4.208 Å; angles 90.00, 90.00, 90.00 degrees
Space group Pm-3m (No. 221)
Symmetry-distinct sites (fractional):
Na 0.000 0.000 0.000 x1
Sr 0.500 0.500 0.500 x1
O 0.000 0.000 0.500 x3

Top 10 peaks for 10 to 80 degrees two-theta, by angle:
d = 4.208 Å, rel. 27, hkl 1 0 0
d = 2.976 Å, rel. 100, hkl 1 1 0
d = 2.430 Å, rel. 53, hkl 1 1 1
d = 2.104 Å, rel. 51, hkl 2 0 0
d = 1.882 Å, rel. 14, hkl 2 1 0
d = 1.718 Å, rel. 41, hkl 2 1 1
d = 1.488 Å, rel. 30, hkl 2 2 0
d = 1.331 Å, rel. 18, hkl 3 1 0
d = 1.269 Å, rel. 16, hkl 3 1 1
d = 1.215 Å, rel. 9, hkl 2 2 2

The following is a theoretical PXRD pattern of Na3SrTa4O12. It was derived from the PBE geometry in the Materials Project, using Cu Kα (weighted mean of Kα1 and Kα2).
Intensities are scaled so that the largest is 100.

Atomic structure:
Cell lengths 5.612, 7.999, 5.623 Å; angles 90.00, 90.01, 90.00 degrees
Space group Pm (No. 6)
Symmetry-distinct sites (fractional):
Na 0.000 0.000 0.000 x1
Na 0.005 0.500 0.984 x1
Na 0.506 0.000 0.500 x1
Sr 0.502 0.500 0.481 x1
Ta 0.003 0.247 0.492 x2
Ta 0.503 0.247 0.992 x2
O 0.037 0.000 0.485 x1
O 0.223 0.270 0.213 x2
O 0.286 0.266 0.709 x2
O 0.468 0.000 0.986 x1
O 0.537 0.500 0.997 x1
O 0.717 0.234 0.278 x2
O 0.783 0.234 0.773 x2
O 0.971 0.500 0.499 x1

Top 10 peaks for 10 to 80 degrees two-theta, by angle:
d = 3.999 Å, rel. 29, hkl 0 2 0
d = 3.972 Å, rel. 56, hkl 1 0 1
d = 2.817 Å, rel. 100, hkl 0 0 2
d = 2.806 Å, rel. 20, hkl 2 0 0
d = 2.000 Å, rel. 13, hkl 0 4 0
d = 1.986 Å, rel. 24, hkl 2 0 2
d = 1.779 Å, rel. 18, hkl 1 0 -3
d = 1.629 Å, rel. 17, hkl 0 4 2
d = 1.624 Å, rel. 34, hkl 3 2 -1
d = 1.409 Å, rel. 15, hkl 2 4 2